(1)
This entry pairs a crystal structure of Mg16Al13 with its theoretical powder XRD pattern. Radiation: Cu Kα. Structure: a DFT-relaxed cell (GGA-PBE, Alexandria).

a b c (Å): 9.1041 9.1041 9.0412
angles (deg): 109.30 109.30 109.61
Element x y z (fractional)
Mg: 0.0000 0.0000 0.0000
Mg: 0.2855 0.5989 0.5999
Mg: 0.3127 0.3127 0.7116
Mg: 0.3179 0.7085 0.3125
Mg: 0.3535 0.3535 0.3416
Mg: 0.3998 0.9982 0.6822
Mg: 0.4015 0.6790 0.0022
Mg: 0.5989 0.2855 0.5999
Mg: 0.6539 0.9990 0.0010
Mg: 0.6790 0.4015 0.0022
Mg: 0.6822 0.9992 0.3985
Mg: 0.7085 0.3179 0.3125
Mg: 0.9959 0.9959 0.6508
Mg: 0.9982 0.3998 0.6822
Mg: 0.9990 0.6539 0.0010
Mg: 0.9992 0.6822 0.3985
Al: 0.1785 0.8098 0.8111
Al: 0.1814 0.3620 0.9952
Al: 0.1836 0.9990 0.3649
Al: 0.3620 0.1814 0.9952
Al: 0.3651 0.9965 0.1824
Al: 0.6176 0.6176 0.3018
Al: 0.6320 0.8165 0.6306
Al: 0.6333 0.6333 0.8202
Al: 0.8098 0.1785 0.8111
Al: 0.8132 0.8132 0.1865
Al: 0.8165 0.6320 0.6306
Al: 0.9965 0.3651 0.1824
Al: 0.9990 0.1836 0.3649

Largest 10 diffraction maxima, low angle first, 15 to 90 degrees two-theta:
2theta, I_rel
34.17, 15
36.23, 100
36.35, 91
36.43, 36
40.21, 37
40.52, 16
43.88, 18
65.16, 19
65.26, 16
65.37, 12

=====

(2)
This entry pairs a crystal structure of Mg3Mn2Al18 with its theoretical powder XRD pattern. Radiation: Cu Kα. Structure: a DFT-relaxed cell (GGA-PBE, Alexandria).

a b c (Å): 10.1979 10.1979 10.1979
angles (deg): 60.00 60.00 60.00
Element x y z (fractional)
Mg: 0.0000 0.0000 0.0000
Mg: 0.0000 0.0000 0.5000
Mg: 0.0000 0.5000 0.0000
Mg: 0.1250 0.1250 0.1250
Mg: 0.5000 0.0000 0.0000
Mg: 0.8750 0.8750 0.8750
Mn: 0.0000 0.5000 0.5000
Mn: 0.5000 0.0000 0.5000
Mn: 0.5000 0.5000 0.0000
Mn: 0.5000 0.5000 0.5000
Al: 0.0586 0.3260 0.3260
Al: 0.0586 0.3260 0.7894
Al: 0.0586 0.7894 0.3260
Al: 0.2106 0.6740 0.6740
Al: 0.2106 0.6740 0.9414
Al: 0.2106 0.9414 0.6740
Al: 0.2377 0.2377 0.5123
Al: 0.2377 0.5123 0.2377
Al: 0.2377 0.5123 0.5123
Al: 0.3260 0.0586 0.3260
Al: 0.3260 0.0586 0.7894
Al: 0.3260 0.3260 0.0586
Al: 0.3260 0.3260 0.7894
Al: 0.3260 0.7894 0.0586
Al: 0.3260 0.7894 0.3260
Al: 0.4877 0.4877 0.7623
Al: 0.4877 0.7623 0.4877
Al: 0.4877 0.7623 0.7623
Al: 0.5123 0.2377 0.2377
Al: 0.5123 0.2377 0.5123
Al: 0.5123 0.5123 0.2377
Al: 0.6740 0.2106 0.6740
Al: 0.6740 0.2106 0.9414
Al: 0.6740 0.6740 0.2106
Al: 0.6740 0.6740 0.9414
Al: 0.6740 0.9414 0.2106
Al: 0.6740 0.9414 0.6740
Al: 0.7623 0.4877 0.4877
Al: 0.7623 0.4877 0.7623
Al: 0.7623 0.7623 0.4877
Al: 0.7894 0.0586 0.3260
Al: 0.7894 0.3260 0.0586
Al: 0.7894 0.3260 0.3260
Al: 0.9414 0.2106 0.6740
Al: 0.9414 0.6740 0.2106
Al: 0.9414 0.6740 0.6740

Largest 10 diffraction maxima, low angle first, 15 to 90 degrees two-theta:
2theta, I_rel
35.20, 19
36.87, 38
39.52, 25
41.04, 71
41.53, 100
43.47, 32
44.88, 49
67.49, 24
74.42, 40
78.13, 19